Computed powder diffraction line list
Compound: Sr3CaHf4O12
Radiation: Cu Kα
Structure: the PBE geometry in the Materials Project

Principal peaks in the range 5° ≤ 2θ ≤ 70°, by angle:
| 2θ/deg | I/Imax |
| --- | --- |
| 21.72 | 42 |
| 30.76 | 25 |
| 30.89 | 100 |
| 31.11 | 25 |
| 44.17 | 14 |
| 44.31 | 26 |
| 49.64 | 4 |
| 49.78 | 10 |
| 54.78 | 31 |
| 55.01 | 11 |
| 55.21 | 23 |
| 64.36 | 16 |

Structural model:
```
data_Sr3CaHf4O12
_chemical_formula_sum 'Sr3 Ca1 Hf4 O12'
_cell_length_a 5.7499
_cell_length_b 8.2008
_cell_length_c 5.8138
_cell_angle_alpha 90.00
_cell_angle_beta 90.04
_cell_angle_gamma 90.00
_space_group_name_H-M_alt 'P 1 m 1'
_space_group_IT_number 6
_space_group_name_Hall 'P -2y'
loop_
_atom_site_label
_atom_site_fract_x
_atom_site_fract_y
_atom_site_fract_z
Sr1 0.0000 0.0000 0.0000
Sr2 0.0109 0.5000 0.9369
Sr3 0.5141 0.0000 0.4934
Ca1 0.5091 0.5000 0.4277
Hf1 0.0070 0.2525 0.4674
Hf2 0.5074 0.2520 0.9654
O1 0.0710 0.0000 0.4575
O2 0.2162 0.2823 0.1760
O3 0.3044 0.2969 0.6693
O4 0.4400 0.0000 0.9443
O5 0.5721 0.5000 0.0029
O6 0.7175 0.2162 0.2559
O7 0.7998 0.2180 0.7591
O8 0.9208 0.5000 0.4817
```

Computed powder diffraction line list
Compound: BaTiCu4P4O17
Radiation: Cu Kα
Structure: the PBE geometry in the Materials Project

Principal peaks in the range 5° ≤ 2θ ≤ 70°, by angle:
| 2θ/deg | I/Imax |
| --- | --- |
| 17.79 | 22 |
| 22.03 | 50 |
| 26.24 | 21 |
| 28.77 | 100 |
| 30.23 | 25 |
| 30.78 | 49 |
| 35.55 | 18 |
| 38.41 | 24 |
| 41.77 | 19 |
| 53.35 | 17 |
| 57.50 | 19 |
| 61.74 | 21 |

Structural model:
```
data_BaTiCu4P4O17
_chemical_formula_sum 'Ba2 Ti2 Cu8 P8 O34'
_cell_length_a 9.7137
_cell_length_b 9.7137
_cell_length_c 7.2486
_cell_angle_alpha 90.00
_cell_angle_beta 90.00
_cell_angle_gamma 90.00
_space_group_name_H-M_alt 'P 4 21 2'
_space_group_IT_number 90
_space_group_name_Hall 'P 4ab 2ab'
loop_
_atom_site_label
_atom_site_fract_x
_atom_site_fract_y
_atom_site_fract_z
Ba1 0.0000 0.0000 0.0000
Ti1 0.0000 0.5000 0.0247
Cu1 0.0120 0.2676 0.5954
P1 0.1928 0.7192 0.2624
O1 0.0000 0.5000 0.7897
O2 0.1132 0.6615 0.0960
O3 0.1245 0.8377 0.7318
O4 0.1356 0.6510 0.4453
O5 0.1530 0.1820 0.7520
```

Computed powder diffraction line list
Compound: FePS3
Radiation: Cu Kα
Structure: the PBE geometry in the Materials Project

Principal peaks in the range 5° ≤ 2θ ≤ 70°, by angle:
| 2θ/deg | I/Imax |
| --- | --- |
| 12.82 | 100 |
| 25.80 | 6 |
| 30.26 | 9 |
| 30.63 | 9 |
| 30.75 | 13 |
| 34.90 | 48 |
| 35.04 | 27 |
| 45.61 | 7 |
| 47.34 | 7 |
| 53.15 | 8 |
| 53.47 | 8 |
| 54.47 | 6 |

Structural model:
```
data_FePS3
_chemical_formula_sum 'Fe2 P2 S6'
_cell_length_a 5.8607
_cell_length_b 5.8924
_cell_length_c 7.2003
_cell_angle_alpha 73.67
_cell_angle_beta 83.68
_cell_angle_gamma 61.35
_space_group_name_H-M_alt 'P -1'
_space_group_IT_number 2
_space_group_name_Hall '-P 1'
loop_
_atom_site_label
_atom_site_fract_x
_atom_site_fract_y
_atom_site_fract_z
Fe1 0.1422 0.1381 0.4987
P1 0.4942 0.4536 0.6591
S1 0.1582 0.4288 0.7209
S2 0.1705 0.9055 0.2603
S3 0.4992 0.7672 0.7229
```

Computed powder diffraction line list
Compound: Cs2NaLaBr6
Radiation: Cu Kα
Structure: the PBE geometry in the Materials Project

Principal peaks in the range 5° ≤ 2θ ≤ 70°, by angle:
| 2θ/deg | I/Imax |
| --- | --- |
| 13.06 | 15 |
| 21.40 | 38 |
| 25.15 | 10 |
| 26.29 | 82 |
| 30.45 | 100 |
| 37.52 | 18 |
| 43.60 | 73 |
| 51.63 | 37 |
| 54.11 | 26 |
| 58.85 | 10 |
| 63.36 | 12 |
| 69.83 | 15 |

Structural model:
```
data_Cs2NaLaBr6
_chemical_formula_sum 'Cs8 Na4 La4 Br24'
_cell_length_a 11.7427
_cell_length_b 11.7427
_cell_length_c 11.7427
_cell_angle_alpha 90.00
_cell_angle_beta 90.00
_cell_angle_gamma 90.00
_space_group_name_H-M_alt 'F m -3 m'
_space_group_IT_number 225
_space_group_name_Hall '-F 4 2 3'
loop_
_atom_site_label
_atom_site_fract_x
_atom_site_fract_y
_atom_site_fract_z
Cs1 0.2500 0.2500 0.2500
Na1 0.0000 0.0000 0.0000
La1 0.0000 0.0000 0.5000
Br1 0.0000 0.0000 0.2503
```

Computed powder diffraction line list
Compound: CsInI3
Radiation: Cu Kα
Structure: the PBE geometry in the Materials Project

Principal peaks in the range 5° ≤ 2θ ≤ 70°, by angle:
| 2θ/deg | I/Imax |
| --- | --- |
| 14.22 | 18 |
| 20.16 | 19 |
| 24.75 | 75 |
| 28.66 | 100 |
| 32.12 | 9 |
| 35.29 | 9 |
| 40.97 | 74 |
| 48.46 | 34 |
| 50.76 | 26 |
| 59.33 | 12 |
| 65.28 | 13 |
| 67.20 | 32 |

Structural model:
```
data_CsInI3
_chemical_formula_sum 'Cs8 In8 I24'
_cell_length_a 12.4608
_cell_length_b 12.4608
_cell_length_c 12.4608
_cell_angle_alpha 90.00
_cell_angle_beta 90.00
_cell_angle_gamma 90.00
_space_group_name_H-M_alt 'F m -3 m'
_space_group_IT_number 225
_space_group_name_Hall '-F 4 2 3'
loop_
_atom_site_label
_atom_site_fract_x
_atom_site_fract_y
_atom_site_fract_z
Cs1 0.2500 0.2500 0.2500
In1 0.0000 0.0000 0.0000
In2 0.0000 0.0000 0.5000
I1 0.0000 0.0000 0.2398
```

Computed powder diffraction line list
Compound: Li3Cu3P2O8
Radiation: Cu Kα
Structure: the PBE geometry in the Materials Project

Principal peaks in the range 5° ≤ 2θ ≤ 70°, by angle:
| 2θ/deg | I/Imax |
| --- | --- |
| 14.19 | 26 |
| 21.76 | 51 |
| 22.47 | 63 |
| 27.93 | 33 |
| 33.14 | 100 |
| 35.08 | 61 |
| 36.24 | 21 |
| 37.59 | 85 |
| 37.73 | 35 |
| 48.92 | 16 |
| 59.17 | 33 |
| 59.28 | 16 |

Structural model:
```
data_Li3Cu3P2O8
_chemical_formula_sum 'Li3 Cu3 P2 O8'
_cell_length_a 5.1157
_cell_length_b 5.4056
_cell_length_c 6.2429
_cell_angle_alpha 90.15
_cell_angle_beta 90.08
_cell_angle_gamma 90.32
_space_group_name_H-M_alt 'P 1'
_space_group_IT_number 1
_space_group_name_Hall 'P 1'
loop_
_atom_site_label
_atom_site_fract_x
_atom_site_fract_y
_atom_site_fract_z
Li1 0.0000 0.0000 0.0000
Li2 0.0005 0.4805 0.7460
Li3 0.5029 0.6528 0.4977
Cu1 0.9997 0.9899 0.4853
Cu2 0.5008 0.1432 0.2462
Cu3 0.5123 0.6579 0.9968
P1 0.0049 0.5064 0.2465
P2 0.5056 0.1568 0.7464
O1 0.3078 0.5155 0.2582
O2 0.3857 0.0251 0.9476
O3 0.3961 0.4247 0.7338
O4 0.4127 0.0051 0.5455
O5 0.8086 0.1568 0.7575
O6 0.8890 0.6249 0.4546
O7 0.9113 0.2306 0.2338
O8 0.9142 0.6440 0.0396
```

Computed powder diffraction line list
Compound: GdAlO3
Radiation: Cu Kα
Structure: the PBE geometry in the Materials Project

Principal peaks in the range 5° ≤ 2θ ≤ 70°, by angle:
| 2θ/deg | I/Imax |
| --- | --- |
| 23.65 | 86 |
| 26.47 | 13 |
| 33.36 | 21 |
| 33.70 | 100 |
| 33.93 | 25 |
| 41.33 | 24 |
| 41.80 | 28 |
| 48.32 | 26 |
| 48.48 | 16 |
| 54.61 | 12 |
| 55.56 | 13 |
| 60.54 | 34 |

Structural model:
```
data_GdAlO3
_chemical_formula_sum 'Gd4 Al4 O12'
_cell_length_a 5.3711
_cell_length_b 7.5106
_cell_length_c 5.2846
_cell_angle_alpha 90.00
_cell_angle_beta 90.00
_cell_angle_gamma 90.00
_space_group_name_H-M_alt 'P n m a'
_space_group_IT_number 62
_space_group_name_Hall '-P 2ac 2n'
loop_
_atom_site_label
_atom_site_fract_x
_atom_site_fract_y
_atom_site_fract_z
Gd1 0.0436 0.2500 0.0101
Al1 0.0000 0.0000 0.5000
O1 0.0174 0.7500 0.4228
O2 0.2124 0.5410 0.7871
```

Computed powder diffraction line list
Compound: K2YAgCl6
Radiation: Cu Kα
Structure: the PBE geometry in the Materials Project

Principal peaks in the range 5° ≤ 2θ ≤ 70°, by angle:
| 2θ/deg | I/Imax |
| --- | --- |
| 16.53 | 89 |
| 23.46 | 91 |
| 28.84 | 8 |
| 33.42 | 100 |
| 37.51 | 43 |
| 41.24 | 40 |
| 47.99 | 65 |
| 51.11 | 21 |
| 54.09 | 18 |
| 59.74 | 21 |
| 62.45 | 9 |
| 65.09 | 20 |

Structural model:
```
data_K2YAgCl6
_chemical_formula_sum 'K8 Y4 Ag4 Cl24'
_cell_length_a 10.7235
_cell_length_b 10.7235
_cell_length_c 10.7235
_cell_angle_alpha 90.00
_cell_angle_beta 90.00
_cell_angle_gamma 90.00
_space_group_name_H-M_alt 'F m -3 m'
_space_group_IT_number 225
_space_group_name_Hall '-F 4 2 3'
loop_
_atom_site_label
_atom_site_fract_x
_atom_site_fract_y
_atom_site_fract_z
K1 0.2500 0.2500 0.2500
Y1 0.0000 0.0000 0.0000
Ag1 0.0000 0.0000 0.5000
Cl1 0.0000 0.0000 0.2454
```